For SmDy2Y2Tm, a cell relaxed with GGA-PBE gives the theoretical X-ray powder pattern in this record (Cu Ka).
No peak broadening, texture or thermal motion is included.

Atomic structure:
```
data_SmDy2Y2Tm
_cell_length_a 6.5763
_cell_length_b 17.6935
_cell_length_c 3.3803
_cell_angle_alpha 90.00
_cell_angle_beta 90.00
_cell_angle_gamma 90.00
_space_group_name_H-M_alt 'P n n m'
_space_group_IT_number 58
_space_group_name_Hall '-P 2 2n'
loop_
_atom_site_label
_atom_site_type_symbol
_atom_site_fract_x
_atom_site_fract_y
_atom_site_fract_z
_atom_site_occupancy
Sm1 Sm 0.0000 0.0000 0.0000 1
Dy1 Dy 0.2334 0.1473 0.5000 1
Y1 Y 0.2343 0.3170 0.0000 1
Tm1 Tm 0.0000 0.5000 0.0000 1
```

Principal peaks in the range 15 to 90 degrees two-theta, by angle:
h k l	two_theta	Rel. int.
1 2 0	16.80	378
0 1 1	26.85	360
2 2 0	28.97	1000
0 6 0	30.31	807
0 3 1	30.48	662
1 2 1	31.43	585
2 4 0	33.97	873
1 4 1	36.12	481
2 3 1	41.25	649
4 0 0	55.90	384